# 1
Starting from a structure optimized by DFT (GGA-PBE), the powder diffractogram of K2Nd2Ti3O10 was computed for Cu Ka.

Cell and atoms:
Cell: 15.198 3.904 15.195 Å, 82.67 14.76 82.57°
Positions (direct):
K1 0.208 0.792 0.208
K2 0.792 0.208 0.792
Nd1 0.053 0.910 0.090
Nd2 0.910 0.053 0.947
Ti1 0.359 0.638 0.362
Ti2 0.512 0.512 0.488
Ti3 0.638 0.359 0.641
O1 0.031 0.556 0.969
O2 0.131 0.376 0.121
O3 0.303 0.699 0.301
O4 0.376 0.131 0.373
O5 0.463 0.592 0.408
O6 0.556 0.031 0.444
O7 0.592 0.463 0.537
O8 0.627 0.879 0.624
O9 0.699 0.303 0.697
O10 0.879 0.627 0.869

Principal peaks in the range 2θ from 15° to 90°, sorted by position:
- 3.871 Å, 22.97°, rel. 18
- 2.881 Å, 31.04°, rel. 100
- 2.770 Å, 32.32°, rel. 26
- 2.752 Å, 32.54°, rel. 25
- 1.952 Å, 46.52°, rel. 33
- 1.620 Å, 56.84°, rel. 17

=====

# 2
Starting from a structure optimized by DFT (GGA-PBE), the powder diffractogram of SrLaAlO4 was computed for Cu Ka.

Cell and atoms:
Cell: 3.802 3.802 12.573 Å, 90.00 90.00 90.00°
Positions (direct):
Sr1 0.000 0.000 0.000
Sr2 0.500 0.500 0.500
La1 0.000 0.000 0.716
La2 0.500 0.500 0.216
Al1 0.000 0.000 0.362
Al2 0.500 0.500 0.862
O1 0.000 0.000 0.197
O2 0.000 0.000 0.522
O3 0.000 0.500 0.354
O4 0.000 0.500 0.854
O5 0.500 0.000 0.354
O6 0.500 0.000 0.854
O7 0.500 0.500 0.022
O8 0.500 0.500 0.697

Principal peaks in the range 2θ from 15° to 90°, sorted by position:
- 3.639 Å, 24.46°, rel. 53
- 2.816 Å, 31.78°, rel. 100
- 2.688 Å, 33.33°, rel. 73
- 2.043 Å, 44.34°, rel. 54
- 1.901 Å, 47.85°, rel. 40
- 1.575 Å, 58.59°, rel. 37

=====

# 3
Starting from a structure optimized by DFT (GGA-PBE), the powder diffractogram of Mg14AlC was computed for Cu Ka.

Cell and atoms:
Cell: 9.706 6.317 6.317 Å, 62.14 90.00 90.00°
Positions (direct):
Mg1 0.000 0.000 0.000
Mg2 0.000 0.010 0.501
Mg3 0.000 0.499 0.499
Mg4 0.000 0.501 0.010
Mg5 0.249 0.670 0.670
Mg6 0.259 0.166 0.166
Mg7 0.285 0.162 0.692
Mg8 0.285 0.692 0.162
Mg9 0.500 0.461 0.977
Mg10 0.500 0.977 0.461
Mg11 0.715 0.162 0.692
Mg12 0.715 0.692 0.162
Mg13 0.741 0.166 0.166
Mg14 0.751 0.670 0.670
Al1 0.500 0.499 0.499
C1 0.500 0.067 0.067

Principal peaks in the range 2θ from 15° to 90°, sorted by position:
- 2.792 Å, 32.05°, rel. 16
- 2.705 Å, 33.11°, rel. 12
- 2.422 Å, 37.13°, rel. 100
- 2.363 Å, 38.08°, rel. 26
- 1.578 Å, 58.48°, rel. 10
- 1.400 Å, 66.84°, rel. 9

=====

# 4
Starting from a structure optimized by DFT (GGA-PBE), the powder diffractogram of Mg3SO9 was computed for Cu Ka.

Cell and atoms:
Cell: 6.013 6.517 7.858 Å, 70.26 74.19 69.10°
Positions (direct):
Mg1 0.000 0.000 0.000
Mg2 0.127 0.479 0.124
Mg3 0.318 0.241 0.581
S1 0.333 0.331 0.850
O1 0.062 0.860 0.256
O2 0.102 0.247 0.819
O3 0.239 0.733 0.135
O4 0.312 0.265 0.326
O5 0.329 0.017 0.378
O6 0.344 0.932 0.558
O7 0.695 0.735 0.170
O8 0.777 0.514 0.265
O9 0.851 0.771 0.993

Principal peaks in the range 2θ from 15° to 90°, sorted by position:
- 5.533 Å, 16.02°, rel. 100
- 5.316 Å, 16.68°, rel. 30
- 4.826 Å, 18.38°, rel. 52
- 4.783 Å, 18.55°, rel. 35
- 4.072 Å, 21.83°, rel. 62
- 3.546 Å, 25.11°, rel. 70

=====

# 5
Starting from a structure optimized by DFT (GGA-PBE), the powder diffractogram of Na3Dy was computed for Cu Ka.

Cell and atoms:
Cell: 7.287 7.287 5.848 Å, 90.00 90.00 120.00°
Positions (direct):
Na1 0.163 0.326 0.250
Na2 0.163 0.837 0.250
Na3 0.326 0.163 0.750
Na4 0.674 0.837 0.250
Na5 0.837 0.163 0.750
Na6 0.837 0.674 0.750
Dy1 0.333 0.667 0.750
Dy2 0.667 0.333 0.250

Principal peaks in the range 2θ from 15° to 90°, sorted by position:
- 4.290 Å, 20.71°, rel. 100
- 3.644 Å, 24.43°, rel. 44
- 2.924 Å, 30.57°, rel. 25
- 2.777 Å, 32.23°, rel. 98
- 2.281 Å, 39.52°, rel. 25
- 2.209 Å, 40.86°, rel. 33

=====

# 6
Starting from a structure optimized by DFT (GGA-PBE), the powder diffractogram of RbMgF3 was computed for Cu Ka.

Cell and atoms:
Cell: 6.907 6.907 14.358 Å, 90.00 90.00 120.00°
Positions (direct):
Rb1 0.000 0.000 0.250
Rb2 0.000 0.000 0.750
Rb3 0.333 0.667 0.138
Rb4 0.333 0.667 0.362
Rb5 0.667 0.333 0.638
Rb6 0.667 0.333 0.862
Mg1 0.000 0.000 0.000
Mg2 0.000 0.000 0.500
Mg3 0.333 0.667 0.659
Mg4 0.333 0.667 0.841
Mg5 0.667 0.333 0.159
Mg6 0.667 0.333 0.341
F1 0.088 0.544 0.750
F2 0.135 0.269 0.085
F3 0.135 0.269 0.415
F4 0.135 0.865 0.085
F5 0.135 0.865 0.415
F6 0.269 0.135 0.585
F7 0.269 0.135 0.915
F8 0.456 0.544 0.750
F9 0.456 0.912 0.750
F10 0.544 0.088 0.250
F11 0.544 0.456 0.250
F12 0.731 0.865 0.085
F13 0.731 0.865 0.415
F14 0.865 0.135 0.585
F15 0.865 0.135 0.915
F16 0.865 0.731 0.585
F17 0.865 0.731 0.915
F18 0.912 0.456 0.250

Principal peaks in the range 2θ from 15° to 90°, sorted by position:
- 5.522 Å, 16.05°, rel. 27
- 3.737 Å, 23.81°, rel. 35
- 3.453 Å, 25.80°, rel. 100
- 3.078 Å, 29.01°, rel. 43
- 2.298 Å, 39.21°, rel. 54
- 1.913 Å, 47.53°, rel. 36